Calculated powder diffraction line list of Th3SbPt for Cu Kα (weighted mean of Kα1 and Kα2), from the GGA-PBE geometry in Alexandria.
No peak broadening, texture or thermal motion is included.

Structure:
```
data_Th3SbPt
_chemical_formula_sum 'Th12 Sb4 Pt4'
_space_group_name_H-M_alt 'C m m m'
_space_group_IT_number 65
_space_group_name_Hall '-C 2 2'
_cell_length_a 7.8036
_cell_length_b 15.8997
_cell_length_c 4.9964
_cell_angle_alpha 90.00
_cell_angle_beta 90.00
_cell_angle_gamma 90.00
loop_
_atom_site_label
_atom_site_type_symbol
_atom_site_fract_x
_atom_site_fract_y
_atom_site_fract_z
Th1 Th 0.0000 0.1554 0.0000
Th2 Th 0.1854 0.5000 0.5000
Th3 Th 0.2500 0.2500 0.5000
Sb1 Sb 0.0000 0.3634 0.0000
Pt1 Pt 0.0000 0.0881 0.5000
```

The 10 most intense peaks (10° ≤ 2θ ≤ 90°), low angle first:
Position (°2θ)  intensity
17.75  30
20.25  25
28.70  84
29.04  61
32.15  100
35.38  33
35.95  61
48.99  63
60.21  27
61.92  28

---

Calculated powder diffraction line list of Th4Sb3Pt for Cu Kα (weighted mean of Kα1 and Kα2), from the GGA-PBE geometry in Alexandria.
No peak broadening, texture or thermal motion is included.

Structure:
```
data_Th4Sb3Pt
_chemical_formula_sum 'Th8 Sb6 Pt2'
_space_group_name_H-M_alt 'P 1 2/c 1'
_space_group_IT_number 13
_cell_length_a 7.7916
_cell_length_b 8.9251
_cell_length_c 7.5891
_cell_angle_alpha 90.00
_cell_angle_beta 109.24
_cell_angle_gamma 90.00
loop_
_space_group_symop_operation_xyz
'x,y,z'
'-x,-y,-z'
'-x,y,-z+1/2'
'x,-y,z+1/2'
loop_
_atom_site_label
_atom_site_type_symbol
_atom_site_fract_x
_atom_site_fract_y
_atom_site_fract_z
Th1 Th 0.2227 0.1117 0.0067
Th2 Th 0.2383 0.3633 0.4871
Sb1 Sb 0.0000 0.3745 0.7500
Sb2 Sb 0.5000 0.1267 0.7500
Sb3 Sb 0.5000 0.3782 0.2500
Pt1 Pt 0.0000 0.1252 0.2500
```

The 10 most intense peaks (10° ≤ 2θ ≤ 90°), low angle first:
Position (°2θ)  intensity
28.32  100
28.48  48
40.18  36
40.43  19
40.53  19
41.01  37
50.19  19
50.98  10
58.58  12
73.91  11

---

Calculated powder diffraction line list of Ti6SbPt for Cu Kα (weighted mean of Kα1 and Kα2), from the GGA-PBE geometry in Alexandria.
No peak broadening, texture or thermal motion is included.

Structure:
```
data_Ti6SbPt
_chemical_formula_sum 'Ti12 Sb2 Pt2'
_space_group_name_H-M_alt 'A m m 2'
_space_group_IT_number 38
_cell_length_a 4.6710
_cell_length_b 6.2018
_cell_length_c 9.4296
_cell_angle_alpha 90.00
_cell_angle_beta 90.00
_cell_angle_gamma 90.00
loop_
_space_group_symop_operation_xyz
'x,y,z'
'-x,-y,z'
'-x,y,z'
'x,-y,z'
'x,y+1/2,z+1/2'
'-x,-y+1/2,z+1/2'
'-x,y+1/2,z+1/2'
'x,-y+1/2,z+1/2'
loop_
_atom_site_label
_atom_site_type_symbol
_atom_site_fract_x
_atom_site_fract_y
_atom_site_fract_z
Ti1 Ti 0.0000 0.0000 0.0000
Ti2 Ti 0.0000 0.2188 0.7178
Ti3 Ti 0.5000 0.0000 0.2435
Ti4 Ti 0.5000 0.2454 0.5114
Sb1 Sb 0.0000 0.0000 0.4501
Pt1 Pt 0.5000 0.0000 0.7758
```

The 10 most intense peaks (10° ≤ 2θ ≤ 90°), low angle first:
Position (°2θ)  intensity
17.11  22
25.68  37
26.87  17
31.92  20
38.18  18
38.55  32
39.79  100
42.98  16
55.38  12
70.57  21

---

Calculated powder diffraction line list of TlSbPt2 for Cu Kα (weighted mean of Kα1 and Kα2), from the GGA-PBE geometry in Alexandria.
No peak broadening, texture or thermal motion is included.

Structure:
```
data_TlSbPt2
_chemical_formula_sum 'Tl4 Sb4 Pt8'
_space_group_name_H-M_alt 'P b c m'
_space_group_IT_number 57
_cell_length_a 8.6034
_cell_length_b 7.2686
_cell_length_c 5.5549
_cell_angle_alpha 90.00
_cell_angle_beta 90.00
_cell_angle_gamma 90.00
loop_
_space_group_symop_operation_xyz
'x,y,z'
'-x,-y,-z'
'-x,-y,z+1/2'
'x,y,-z+1/2'
'x,-y+1/2,-z'
'-x,y+1/2,z'
'-x,y+1/2,-z+1/2'
'x,-y+1/2,z+1/2'
loop_
_atom_site_label
_atom_site_type_symbol
_atom_site_fract_x
_atom_site_fract_y
_atom_site_fract_z
Tl1 Tl 0.1181 0.0963 0.2500
Sb1 Sb 0.3745 0.5767 0.2500
Pt1 Pt 0.1466 0.7500 0.0000
Pt2 Pt 0.3905 0.2500 0.0000
```

The 10 most intense peaks (10° ≤ 2θ ≤ 90°), low angle first:
Position (°2θ)  intensity
24.04  27
28.99  61
29.37  33
40.61  100
40.89  46
42.01  34
42.84  69
60.07  28
77.33  21
83.28  21

---

Calculated powder diffraction line list of Tm7Sb2Pt2 for Cu Kα (weighted mean of Kα1 and Kα2), from the GGA-PBE geometry in Alexandria.
No peak broadening, texture or thermal motion is included.

Structure:
```
data_Tm7Sb2Pt2
_chemical_formula_sum 'Tm14 Sb4 Pt4'
_space_group_name_H-M_alt 'I m m 2'
_space_group_IT_number 44
_cell_length_a 3.9596
_cell_length_b 15.3958
_cell_length_c 9.5022
_cell_angle_alpha 90.00
_cell_angle_beta 90.00
_cell_angle_gamma 90.00
loop_
_space_group_symop_operation_xyz
'x,y,z'
'-x,-y,z'
'-x,y,z'
'x,-y,z'
'x+1/2,y+1/2,z+1/2'
'-x+1/2,-y+1/2,z+1/2'
'-x+1/2,y+1/2,z+1/2'
'x+1/2,-y+1/2,z+1/2'
loop_
_atom_site_label
_atom_site_type_symbol
_atom_site_fract_x
_atom_site_fract_y
_atom_site_fract_z
Tm1 Tm 0.0000 0.0000 0.0000
Tm2 Tm 0.0000 0.1234 0.5826
Tm3 Tm 0.0000 0.3134 0.3711
Tm4 Tm 0.0000 0.3579 0.7297
Sb1 Sb 0.0000 0.0000 0.3303
Sb2 Sb 0.0000 0.5000 0.2440
Pt1 Pt 0.0000 0.2384 0.0694
```

The 10 most intense peaks (10° ≤ 2θ ≤ 90°), low angle first:
Position (°2θ)  intensity
11.50  16
29.93  46
30.52  21
33.24  38
33.82  100
34.27  32
36.32  23
38.22  28
45.83  26
51.25  27

---

Calculated powder diffraction line list of Tm3SbPt12 for Cu Kα (weighted mean of Kα1 and Kα2), from the GGA-PBE geometry in Alexandria.
No peak broadening, texture or thermal motion is included.

Structure:
```
data_Tm3SbPt12
_chemical_formula_sum 'Tm3 Sb1 Pt12'
_space_group_name_H-M_alt 'P 4/m m m'
_space_group_IT_number 123
_space_group_name_Hall '-P 4 2'
_cell_length_a 4.0883
_cell_length_b 4.0883
_cell_length_c 16.3527
_cell_angle_alpha 90.00
_cell_angle_beta 90.00
_cell_angle_gamma 90.00
loop_
_atom_site_label
_atom_site_type_symbol
_atom_site_fract_x
_atom_site_fract_y
_atom_site_fract_z
Tm1 Tm 0.0000 0.0000 0.0000
Tm2 Tm 0.0000 0.0000 0.2480
Sb1 Sb 0.0000 0.0000 0.5000
Pt1 Pt 0.0000 0.5000 0.1251
Pt2 Pt 0.0000 0.5000 0.3759
Pt3 Pt 0.5000 0.5000 0.0000
Pt4 Pt 0.5000 0.5000 0.2519
Pt5 Pt 0.5000 0.5000 0.5000
```

The 7 most intense peaks (10° ≤ 2θ ≤ 90°), low angle first:
Position (°2θ)  intensity
21.74  1
30.93  1
38.13  100
44.31  49
64.46  33
77.43  39
81.57  11

---

Calculated powder diffraction line list of SbPtW for Cu Kα (weighted mean of Kα1 and Kα2), from the GGA-PBE geometry in Alexandria.
No peak broadening, texture or thermal motion is included.

Structure:
```
data_SbPtW
_chemical_formula_sum 'Sb2 Pt2 W2'
_space_group_name_H-M_alt 'I 4 m m'
_space_group_IT_number 107
_space_group_name_Hall 'I 4 -2'
_cell_length_a 2.9849
_cell_length_b 2.9849
_cell_length_c 12.9442
_cell_angle_alpha 90.00
_cell_angle_beta 90.00
_cell_angle_gamma 90.00
loop_
_atom_site_label
_atom_site_type_symbol
_atom_site_fract_x
_atom_site_fract_y
_atom_site_fract_z
Sb1 Sb 0.0000 0.0000 0.0000
Pt1 Pt 0.0000 0.0000 0.2955
W1 W 0.0000 0.0000 0.6666
```

The 10 most intense peaks (10° ≤ 2θ ≤ 90°), low angle first:
Position (°2θ)  intensity
13.68  24
36.61  100
41.87  12
42.85  37
46.43  14
61.46  15
62.20  12
73.79  6
74.39  26
77.82  8

---

Calculated powder diffraction line list of Y5SbPt2 for Cu Kα (weighted mean of Kα1 and Kα2), from the GGA-PBE geometry in Alexandria.
No peak broadening, texture or thermal motion is included.

Structure:
```
data_Y5SbPt2
_chemical_formula_sum 'Y20 Sb4 Pt8'
_space_group_name_H-M_alt 'I 4/m c m'
_space_group_IT_number 140
_space_group_name_Hall '-I 4 2c'
_cell_length_a 7.7632
_cell_length_b 7.7632
_cell_length_c 13.7350
_cell_angle_alpha 90.00
_cell_angle_beta 90.00
_cell_angle_gamma 90.00
loop_
_atom_site_label
_atom_site_type_symbol
_atom_site_fract_x
_atom_site_fract_y
_atom_site_fract_z
Y1 Y 0.0000 0.0000 0.0000
Y2 Y 0.1575 0.3425 0.1398
Sb1 Sb 0.0000 0.0000 0.2500
Pt1 Pt 0.1379 0.3621 0.5000
```

The 10 most intense peaks (10° ≤ 2θ ≤ 90°), low angle first:
Position (°2θ)  intensity
12.89  31
20.71  15
32.36  100
34.89  12
36.60  49
41.94  25
45.42  8
53.36  8
66.45  14
68.20  16

---

Calculated powder diffraction line list of YSb2Pt2 for Cu Kα (weighted mean of Kα1 and Kα2), from the GGA-PBE geometry in Alexandria.
No peak broadening, texture or thermal motion is included.

Structure:
```
data_YSb2Pt2
_chemical_formula_sum 'Y2 Sb4 Pt4'
_space_group_name_H-M_alt 'I 4/m m m'
_space_group_IT_number 139
_space_group_name_Hall '-I 4 2'
_cell_length_a 4.3177
_cell_length_b 4.3177
_cell_length_c 12.2741
_cell_angle_alpha 90.00
_cell_angle_beta 90.00
_cell_angle_gamma 90.00
loop_
_atom_site_label
_atom_site_type_symbol
_atom_site_fract_x
_atom_site_fract_y
_atom_site_fract_z
Y1 Y 0.0000 0.0000 0.0000
Sb1 Sb 0.0000 0.5000 0.2500
Pt1 Pt 0.0000 0.0000 0.3925
```

The 10 most intense peaks (10° ≤ 2θ ≤ 90°), low angle first:
Position (°2θ)  intensity
21.82  67
30.09  48
32.76  100
41.73  74
41.84  75
42.35  61
60.66  25
61.06  42
70.68  21
76.34  25

---

Calculated powder diffraction line list of ZnSbPt2 for Cu Kα (weighted mean of Kα1 and Kα2), from the GGA-PBE geometry in Alexandria.
No peak broadening, texture or thermal motion is included.

Structure:
```
data_ZnSbPt2
_chemical_formula_sum 'Zn2 Sb2 Pt4'
_space_group_name_H-M_alt 'C 1 2/m 1'
_space_group_IT_number 12
_cell_length_a 5.7758
_cell_length_b 6.6827
_cell_length_c 3.5847
_cell_angle_alpha 90.00
_cell_angle_beta 90.19
_cell_angle_gamma 90.00
loop_
_space_group_symop_operation_xyz
'x,y,z'
'-x,-y,-z'
'-x,y,-z'
'x,-y,z'
'x+1/2,y+1/2,z'
'-x+1/2,-y+1/2,-z'
'-x+1/2,y+1/2,-z'
'x+1/2,-y+1/2,z'
loop_
_atom_site_label
_atom_site_type_symbol
_atom_site_fract_x
_atom_site_fract_y
_atom_site_fract_z
Zn1 Zn 0.0000 0.0000 0.0000
Sb1 Sb 0.0000 0.5000 0.0000
Pt1 Pt 0.2500 0.2500 0.5000
```

The 10 most intense peaks (10° ≤ 2θ ≤ 90°), low angle first:
Position (°2θ)  intensity
24.84  15
36.77  100
40.03  40
40.16  39
41.32  72
50.95  20
54.96  16
67.51  17
67.70  17
70.18  31

---

Calculated powder diffraction line list of Sc6Pt7 for Cu Kα (weighted mean of Kα1 and Kα2), from the GGA-PBE geometry in Alexandria.
No peak broadening, texture or thermal motion is included.

Structure:
```
data_Sc6Pt7
_chemical_formula_sum 'Sc18 Pt21'
_space_group_name_H-M_alt 'R -3 m'
_space_group_IT_number 166
_space_group_name_Hall '-R 3 2"'
_cell_length_a 5.4373
_cell_length_b 5.4373
_cell_length_c 28.3555
_cell_angle_alpha 90.00
_cell_angle_beta 90.00
_cell_angle_gamma 120.00
loop_
_atom_site_label
_atom_site_type_symbol
_atom_site_fract_x
_atom_site_fract_y
_atom_site_fract_z
Sc1 Sc 0.0000 0.0000 0.0578
Sc2 Sc 0.0000 0.0000 0.1676
Sc3 Sc 0.0000 0.0000 0.3323
Pt1 Pt 0.0000 0.0000 0.5000
Pt2 Pt 0.0042 0.5021 0.0834
```

The 10 most intense peaks (10° ≤ 2θ ≤ 90°), low angle first:
Position (°2θ)  intensity
18.78  100
19.11  84
38.08  56
38.19  74
38.36  59
38.77  40
41.53  88
44.51  78
69.07  51
81.73  37

---

Calculated powder diffraction line list of Sc2Pt3 for Cu Kα (weighted mean of Kα1 and Kα2), from the GGA-PBE geometry in Alexandria.
No peak broadening, texture or thermal motion is included.

Structure:
```
data_Sc2Pt3
_chemical_formula_sum 'Sc16 Pt24'
_space_group_name_H-M_alt 'F d d 2'
_space_group_IT_number 43
_space_group_name_Hall 'F 2 -2d'
_cell_length_a 9.6655
_cell_length_b 13.6353
_cell_length_c 5.3324
_cell_angle_alpha 90.00
_cell_angle_beta 90.00
_cell_angle_gamma 90.00
loop_
_atom_site_label
_atom_site_type_symbol
_atom_site_fract_x
_atom_site_fract_y
_atom_site_fract_z
Sc1 Sc 0.0505 0.1966 0.0000
Pt1 Pt 0.0000 0.0000 0.0809
Pt2 Pt 0.0460 0.1117 0.5173
```

The 10 most intense peaks (10° ≤ 2θ ≤ 90°), low angle first:
Position (°2θ)  intensity
20.10  17
22.55  23
27.39  35
37.21  13
38.20  100
38.57  50
39.57  25
40.86  17
46.85  23
69.56  15

---

Repeat the seventh record exactly.
Calculated powder diffraction line list of SbPtW for Cu Kα (weighted mean of Kα1 and Kα2), from the GGA-PBE geometry in Alexandria.
No peak broadening, texture or thermal motion is included.

Structure:
```
data_SbPtW
_chemical_formula_sum 'Sb2 Pt2 W2'
_space_group_name_H-M_alt 'I 4 m m'
_space_group_IT_number 107
_space_group_name_Hall 'I 4 -2'
_cell_length_a 2.9849
_cell_length_b 2.9849
_cell_length_c 12.9442
_cell_angle_alpha 90.00
_cell_angle_beta 90.00
_cell_angle_gamma 90.00
loop_
_atom_site_label
_atom_site_type_symbol
_atom_site_fract_x
_atom_site_fract_y
_atom_site_fract_z
Sb1 Sb 0.0000 0.0000 0.0000
Pt1 Pt 0.0000 0.0000 0.2955
W1 W 0.0000 0.0000 0.6666
```

The 10 most intense peaks (10° ≤ 2θ ≤ 90°), low angle first:
Position (°2θ)  intensity
13.68  24
36.61  100
41.87  12
42.85  37
46.43  14
61.46  15
62.20  12
73.79  6
74.39  26
77.82  8

---

Which formula does entry 1 have? Th3SbPt